The following is a theoretical X-ray diffraction stick pattern of RbNdMo2O8. It was derived from the GGA+U geometry in Alexandria, using copper Kα.

Structural model:
a = 10.996 Å, b = 10.661 Å, c = 8.036 Å
α = 90.00°, β = 131.29°, γ = 90.00°
Space group C2/c (No. 15)
Asymmetric unit:
Rb  0.000  0.192  0.250 (multiplicity 4)
Nd  0.000  0.228  0.750 (multiplicity 4)
Mo  0.191  0.498  0.236 (multiplicity 8)
O  0.024  0.394  0.971 (multiplicity 8)
O  0.134  0.073  0.701 (multiplicity 8)
O  0.186  0.420  0.427 (multiplicity 8)
O  0.232  0.154  0.129 (multiplicity 8)

Largest 12 diffraction maxima, in order of rising 2θ, 2θ = 10–90°:
Position (°2θ), I/Imax
13.84, 18
26.99, 29
27.31, 100
27.89, 83
29.59, 42
33.62, 27
36.81, 13
45.38, 28
49.12, 14
50.20, 14
51.80, 18
54.42, 12